Starting from DFT lattice parameters and positions (PBE+U), the XRD peak list of Cs2MnCl4F2 was computed for Cu Ka.
Neutral-atom scattering factors, no anomalous dispersion.

Structural model:
Unit cell a=7.2667 b=7.2667 c=7.2667 alpha=121.55 beta=121.55 gamma=87.34
Positions (direct):
Cs  0.2500  0.7500  0.5000
Cs  0.7500  0.2500  0.5000
Mn  0.0000  0.0000  0.0000
Cl  0.2324  0.2324  0.4649
Cl  0.2324  0.7676  0.0000
Cl  0.7676  0.2324  0.0000
Cl  0.7676  0.7676  0.5351
F  0.1756  0.1756  0.0000
F  0.8244  0.8244  0.0000

The 10 most intense peaks (2θ from 10° to 90°), in order of rising 2θ:
| 2θ/deg | I/Imax |
| --- | --- |
| 15.06 | 33 |
| 17.68 | 31 |
| 24.53 | 100 |
| 25.10 | 24 |
| 30.40 | 91 |
| 34.12 | 24 |
| 35.79 | 52 |
| 43.87 | 40 |
| 50.28 | 30 |
| 61.00 | 21 |